Calculated X-ray diffraction stick pattern of MgMn8O13F3 for Cu Kα, from the GGA+U geometry in Alexandria.

Most intense lines, 10° ≤ 2θ ≤ 80°, low angle first:
2θ (°), Rel. int., hkl
24.42, 40, -1 1 1
24.72, 39, 1 1 1
30.03, 28, 1 0 -2
30.47, 100, 1 0 2
35.54, 21, 0 2 -2
36.23, 17, 2 1 -1
36.55, 17, 2 -1 1
52.84, 18, 0 0 4
53.43, 18, 0 4 0
54.07, 32, 2 1 3

Cell: 5.6603 6.8757 6.9473 Å, 93.95 90.89 90.07°
Fractional coordinates of all 25 atoms:
Mg: 0.0000 0.0000 0.0000
Mn: 0.2381 0.0129 0.5026
Mn: 0.2421 0.4847 0.9790
Mn: 0.4240 0.5101 0.4989
Mn: 0.4833 0.9762 0.9771
Mn: 0.7202 0.7557 0.2688
Mn: 0.7310 0.2423 0.7389
Mn: 0.8766 0.2732 0.2690
Mn: 0.9712 0.7337 0.7284
O: 0.0004 0.6984 0.0057
O: 0.2058 0.5342 0.7090
O: 0.2208 0.9348 0.7825
O: 0.4709 0.7917 0.4528
O: 0.4785 0.2610 0.9344
O: 0.4806 0.2280 0.5377
O: 0.4958 0.7177 0.0516
O: 0.6777 0.4947 0.3142
O: 0.7338 0.0174 0.1850
O: 0.7406 0.9539 0.7935
O: 0.9522 0.2872 0.9729
O: 0.9704 0.2045 0.5248
O: 0.9877 0.7979 0.4635
F: 0.1927 0.4442 0.2602
F: 0.2417 0.0469 0.1958
F: 0.7197 0.5399 0.7061